1.
Bi3Pd8: calculated X-ray powder pattern (CuKα), based on a crystal structure in Alexandria, relaxed with GGA-PBE.

Main lines, low angle first (2θ = 10–80°):
- d 3.502, I = 13
- d 2.835, I = 9
- d 2.348, I = 59
- d 2.310, I = 100
- d 2.002, I = 13
- d 1.646, I = 16
- d 1.415, I = 9
- d 1.341, I = 13
- d 1.333, I = 12
- d 1.228, I = 16

Atomic structure:
```
44
Lattice="4.000 2.309 14.501 -4.000 2.309 14.501 0.000 -4.619 14.501" Properties=species:S:1:pos:R:3 pbc="T T T"
Bi 0.000 0.000 0.000
Bi -2.650 -0.177 17.740
Bi 0.000 0.000 6.204
Bi -1.355 -2.484 24.995
Bi 0.000 0.000 14.736
Bi 1.478 -2.207 17.740
Bi 0.000 0.000 21.727
Bi -1.474 2.415 24.995
Bi 0.000 0.000 27.949
Bi 1.172 2.384 17.740
Bi 0.000 0.000 36.485
Bi 2.828 0.069 24.995
Pd -1.081 -2.322 13.354
Pd 0.000 0.000 2.879
Pd -1.129 -2.202 16.270
Pd -1.196 -2.549 19.207
Pd -2.534 -0.212 20.601
Pd -1.196 -2.476 22.101
Pd -2.663 -0.230 23.516
Pd 0.000 0.000 9.061
Pd -1.471 2.097 13.354
Pd 0.000 0.000 11.991
Pd -2.386 0.004 26.449
Pd -1.342 2.078 16.270
Pd -2.451 -0.030 29.343
Pd -1.610 2.310 19.207
Pd 0.000 0.000 18.808
Pd -1.546 2.273 22.101
Pd 1.450 -2.089 20.601
Pd 0.000 0.000 24.603
Pd 1.530 -2.191 23.516
Pd 1.190 -2.068 26.449
Pd 2.551 0.225 13.354
Pd 1.251 -2.108 29.343
Pd 2.471 0.123 16.270
Pd 0.000 0.000 30.807
Pd 1.084 2.301 20.601
Pd 0.000 0.000 33.739
Pd 2.806 0.239 19.207
Pd 1.132 2.421 23.516
Pd 2.742 0.202 22.101
Pd 1.197 2.064 26.449
Pd 0.000 0.000 40.584
Pd 1.200 2.138 29.343
```


2.
Li5SnSb6: calculated X-ray powder pattern (CuKα), based on a crystal structure in Alexandria, relaxed with GGA-PBE.

Main lines, low angle first (2θ = 10–80°):
- d 4.408, I = 42
- d 3.244, I = 41
- d 2.612, I = 100
- d 2.331, I = 18
- d 2.258, I = 17
- d 2.204, I = 14
- d 1.823, I = 13
- d 1.622, I = 12
- d 1.394, I = 14
- d 1.362, I = 13

Atomic structure:
```
12
Lattice="2.258 -6.994 0.000 2.258 6.994 0.000 0.000 0.000 8.816" Properties=species:S:1:pos:R:3 pbc="T T T"
Li 0.000 0.000 0.000
Li 2.258 2.391 4.408
Li 2.258 2.354 0.000
Li 2.258 -2.354 0.000
Li 2.258 -2.391 4.408
Sn 0.000 0.000 4.408
Sb 2.258 4.608 2.121
Sb 2.258 4.608 6.695
Sb 2.258 0.000 2.059
Sb 2.258 0.000 6.757
Sb 2.258 -4.608 2.121
Sb 2.258 -4.608 6.695
```


3.
PrSe2O5: calculated X-ray powder pattern (CuKα), based on a crystal structure in Alexandria, relaxed with GGA-PBE.

Main lines, low angle first (2θ = 10–80°):
- d 4.682, I = 83
- d 3.786, I = 74
- d 3.298, I = 55
- d 3.158, I = 100
- d 3.106, I = 53
- d 3.016, I = 86
- d 2.342, I = 36
- d 2.258, I = 25
- d 2.111, I = 40
- d 1.617, I = 29

Atomic structure:
```
32
Lattice="7.190 0.000 0.000 0.000 11.142 0.000 0.000 0.000 7.410" Properties=species:S:1:pos:R:3 pbc="T T T"
Pr 0.000 0.735 1.853
Pr 0.000 10.406 5.558
Pr 3.595 4.836 5.558
Pr 3.595 6.306 1.853
Se 0.818 4.023 0.248
Se 0.818 7.119 3.953
Se 2.777 1.548 3.953
Se 2.777 9.593 0.248
Se 4.413 1.548 7.162
Se 4.413 9.593 3.457
Se 6.372 4.023 3.457
Se 6.372 7.119 7.162
O 0.000 4.769 1.853
O 0.000 6.372 5.558
O 1.216 0.709 3.967
O 1.216 10.433 0.262
O 1.241 2.509 0.939
O 1.241 8.633 4.644
O 2.354 3.062 4.644
O 2.354 8.080 0.939
O 2.379 4.862 0.262
O 2.379 6.280 3.967
O 3.595 0.802 5.558
O 3.595 10.340 1.853
O 4.811 4.862 3.443
O 4.811 6.280 7.148
O 4.836 3.062 6.471
O 4.836 8.080 2.766
O 5.949 2.509 2.766
O 5.949 8.633 6.471
O 5.975 0.709 7.148
O 5.975 10.433 3.443
```


4.
Cs6RbTl8: calculated X-ray powder pattern (CuKα), based on a crystal structure in Alexandria, relaxed with GGA-PBE.

Main lines, low angle first (2θ = 10–80°):
- d 7.617, I = 36
- d 4.099, I = 28
- d 3.463, I = 34
- d 3.349, I = 70
- d 3.103, I = 100
- d 3.090, I = 47
- d 2.987, I = 43
- d 2.344, I = 24
- d 2.241, I = 27
- d 1.707, I = 29

Atomic structure:
```
15
Lattice="5.352 3.090 7.617 -5.352 3.090 7.617 0.000 -6.179 7.617" Properties=species:S:1:pos:R:3 pbc="T T T"
Cs -1.363 -2.260 9.107
Cs -2.639 0.051 13.745
Cs -1.276 2.311 9.107
Cs 1.276 -2.311 13.745
Cs 2.639 -0.051 9.107
Cs 1.363 2.260 13.745
Rb 0.000 0.000 0.000
Tl -4.347 0.072 10.241
Tl -2.236 -3.729 12.612
Tl 0.000 0.000 4.332
Tl 2.112 -3.801 10.241
Tl -2.112 3.801 12.612
Tl 0.000 0.000 18.520
Tl 2.236 3.729 10.241
Tl 4.347 -0.072 12.612
```


5.
YGa6Ni6: calculated X-ray powder pattern (CuKα), based on a crystal structure in Alexandria, relaxed with GGA-PBE.

Main lines, low angle first (2θ = 10–80°):
- d 2.512, I = 61
- d 2.175, I = 61
- d 2.147, I = 100
- d 2.113, I = 31
- d 2.068, I = 33
- d 1.925, I = 87
- d 1.868, I = 26
- d 1.369, I = 20
- d 1.256, I = 32
- d 1.209, I = 29

Atomic structure:
```
13
Lattice="-2.513 4.136 4.349 2.513 -4.136 4.349 2.513 4.136 -4.349" Properties=species:S:1:pos:R:3 pbc="T T T"
Y 0.000 0.000 0.000
Ga 2.513 0.000 1.616
Ga 0.000 2.837 0.000
Ga 0.000 0.000 3.003
Ga 0.000 0.000 5.694
Ga 0.000 5.436 0.000
Ga 0.000 4.136 2.732
Ni 1.257 2.068 -2.174
Ni 1.257 -2.068 2.174
Ni 2.513 1.968 0.000
Ni -1.257 2.068 2.174
Ni 1.257 2.068 2.174
Ni 0.000 2.168 4.349
```


6.
TbY2Ho2Er4: calculated X-ray powder pattern (CuKα), based on a crystal structure in Alexandria, relaxed with GGA-PBE.

Main lines, low angle first (2θ = 10–80°):
- d 3.001, I = 42
- d 2.824, I = 61
- d 2.764, I = 100
- d 2.755, I = 100
- d 2.063, I = 14
- d 2.050, I = 14
- d 1.861, I = 17
- d 1.620, I = 20
- d 1.615, I = 21
- d 1.554, I = 20

Atomic structure:
```
9
Lattice="6.001 0.000 0.000 2.965 5.946 0.000 2.971 0.354 7.954" Properties=species:S:1:pos:R:3 pbc="T T T"
Tb 0.000 0.000 0.000
Y 5.547 4.220 5.248
Y 6.391 2.080 2.706
Ho 3.405 1.526 4.414
Ho 8.532 4.774 3.540
Er 3.231 2.564 0.955
Er 5.599 5.287 1.868
Er 6.338 1.013 6.085
Er 8.706 3.737 6.999
```